CrN2: calculated powder X-ray diffraction pattern (λ = 1.5418 Å (Cu Kα)), based on a cell relaxed with GGA-PBE.

Main lines, sorted by position (10° ≤ 2θ ≤ 90°):
- 20.65 deg, rel. 30, (1 1 1)
- 22.76 deg, rel. 19, (0 2 1)
- 24.71 deg, rel. 100, (2 2 0)
- 29.87 deg, rel. 17, (3 1 0)
- 30.38 deg, rel. 11, (1 3 1)
- 34.33 deg, rel. 10, (3 1 1)
- 37.01 deg, rel. 15, (2 4 0)
- 38.77 deg, rel. 10, (2 0 2)

Cell and atoms:
```
data_CrN2
_cell_length_a 9.299
_cell_length_b 11.404
_cell_length_c 5.363
_cell_angle_alpha 90.00
_cell_angle_beta 90.00
_cell_angle_gamma 90.00
_space_group_name_H-M_alt 'P b c n'
_space_group_IT_number 60
_space_group_name_Hall '-P 2n 2ab'
loop_
_atom_site_label
_atom_site_type_symbol
_atom_site_fract_x
_atom_site_fract_y
_atom_site_fract_z
Cr1 Cr 0.000 0.215 0.250
Cr2 Cr 0.205 0.416 0.561
N1 N 0.096 0.301 0.452
N2 N 0.119 0.129 0.073
N3 N 0.172 0.469 0.858
```